Calculated XRD peak list
Compound: In2SnSb2Se
Radiation: a wavelength of 1.5418 Å
Structure: a PBE-relaxed structure
Lines closer than 0.1° are merged.

Crystal structure
```
In2SnSb2Se
1.0
6.6249 -4.3948 0.0000
6.6249 4.3948 0.0000
0.0000 0.0000 7.5856
In Sn Sb Se
4 2 4 2
Direct
0.0202 0.3238 0.0000
0.3238 0.0202 0.5000
0.6762 0.9798 0.0000
0.9798 0.6762 0.5000
0.3484 0.6516 0.0181
0.6516 0.3484 0.5181
0.0098 0.3242 0.3783
0.3242 0.0098 0.8783
0.6758 0.9902 0.3783
0.9902 0.6758 0.8783
0.2744 0.7256 0.3768
0.7256 0.2744 0.8768
```

Peak list (10 most intense, 10° ≤ 2θ ≤ 80°, by angle)
two_theta	Rel. int.
20.2	36
22.5	80
23.4	100
25.4	49
36.8	70
40.9	31
41.2	39
42.5	69
44.1	40
59.4	33

***

Calculated XRD peak list
Compound: BaSrAsCl
Radiation: a wavelength of 1.5418 Å
Structure: a PBE-relaxed structure
Lines closer than 0.1° are merged.

Crystal structure
```
BaSrAsCl
1.0
0.0000 3.9115 3.9115
3.9115 0.0000 3.9115
3.9115 3.9115 0.0000
Ba Sr As Cl
1 1 1 1
Direct
0.0000 0.0000 0.0000
0.5000 0.5000 0.5000
0.7500 0.7500 0.7500
0.2500 0.2500 0.2500
```

Peak list (10 most intense, 10° ≤ 2θ ≤ 80°, by angle)
two_theta	Rel. int.
19.7	7
22.7	12
32.4	100
38.2	4
39.9	4
46.4	18
52.3	5
57.7	37
67.8	11
77.1	16

***

Calculated XRD peak list
Compound: Ac4LaCo
Radiation: a wavelength of 1.5418 Å
Structure: a PBE-relaxed structure
Lines closer than 0.1° are merged.

Crystal structure
```
Ac4LaCo
1.0
3.0185 -9.8799 0.0000
3.0185 9.8799 0.0000
0.0000 0.0000 8.0084
Ac La Co
8 2 2
Direct
0.0005 0.9995 0.0000
0.9995 0.0005 0.5000
0.1972 0.8028 0.4999
0.1982 0.8018 0.0043
0.3921 0.6079 0.7516
0.6079 0.3921 0.2516
0.8018 0.1982 0.5043
0.8028 0.1972 0.9999
0.3811 0.6189 0.2520
0.6189 0.3811 0.7520
0.0953 0.9047 0.2510
0.9047 0.0953 0.7510
```

Peak list (10 most intense, 10° ≤ 2θ ≤ 80°, by angle)
two_theta	Rel. int.
27.0	100
27.1	80
28.7	51
29.6	54
35.2	40
41.7	38
46.7	20
51.0	33
53.5	32
55.0	20

***

Calculated XRD peak list
Compound: NdCuGe2Ir
Radiation: a wavelength of 1.5418 Å
Structure: a PBE-relaxed structure
Lines closer than 0.1° are merged.

Crystal structure
```
NdCuGe2Ir
1.0
-2.0993 2.0993 5.2068
2.0993 -2.0993 5.2068
2.0993 2.0993 -5.2068
Nd Cu Ge Ir
1 1 2 1
Direct
0.0000 0.0000 0.0000
0.2500 0.7500 0.5000
0.3770 0.3770 0.0000
0.6230 0.6230 0.0000
0.7500 0.2500 0.5000
```

Peak list (10 most intense, 10° ≤ 2θ ≤ 80°, by angle)
two_theta	Rel. int.
22.8	27
33.5	50
34.8	100
43.1	51
46.4	19
48.8	19
55.7	24
61.9	17
62.6	17
73.6	22

***

- What is the formula in the second record?
  BaSrAsCl